Record 1
Calculated powder XRD pattern
Compound: PrNdDy2Y2
Radiation: λ = 1.5418 Å (Cu Kα)
Structure: a PBE-relaxed structure
Intensities are scaled so that the largest is 100.

Structural model:
Unit cell a=6.618 b=17.986 c=3.431 alpha=90.00 beta=90.00 gamma=90.00
Fractional positions:
1 Pr 0.000 0.000 0.000
2 Pr 0.500 0.500 0.500
3 Nd 0.000 0.500 0.000
4 Nd 0.500 0.000 0.500
5 Dy 0.223 0.351 0.500
6 Dy 0.277 0.851 0.000
7 Dy 0.723 0.149 0.000
8 Dy 0.777 0.649 0.500
9 Y 0.224 0.186 0.000
10 Y 0.276 0.686 0.500
11 Y 0.724 0.314 0.500
12 Y 0.776 0.814 0.000

Peak list (10 most intense, 2θ = 10–80°, by angle)
- 2θ = 16.63°, d = 5.330 Å, rel. 42
- 2θ = 26.45°, d = 3.370 Å, rel. 34
- 2θ = 28.75°, d = 3.105 Å, rel. 100
- 2θ = 29.80°, d = 2.998 Å, rel. 90
- 2θ = 30.01°, d = 2.978 Å, rel. 82
- 2θ = 31.00°, d = 2.885 Å, rel. 53
- 2θ = 33.63°, d = 2.665 Å, rel. 79
- 2θ = 35.60°, d = 2.522 Å, rel. 50
- 2θ = 40.77°, d = 2.213 Å, rel. 62
- 2θ = 64.63°, d = 1.442 Å, rel. 31



Record 2
Calculated powder XRD pattern
Compound: Pr2NdDy2Y2
Radiation: λ = 1.5418 Å (Cu Kα)
Structure: a PBE-relaxed structure
Intensities are scaled so that the largest is 100.

Structural model:
Unit cell a=6.205 b=6.205 c=11.943 alpha=107.71 beta=107.71 gamma=33.24
Fractional positions:
1 Pr 0.173 0.173 0.085
2 Pr 0.827 0.827 0.915
3 Nd 0.500 0.500 0.500
4 Dy 0.273 0.273 0.636
5 Dy 0.727 0.727 0.364
6 Y 0.049 0.049 0.772
7 Y 0.951 0.951 0.228

Peak list (10 most intense, 2θ = 10–80°, by angle)
- 2θ = 28.22°, d = 3.162 Å, rel. 55
- 2θ = 30.14°, d = 2.965 Å, rel. 71
- 2θ = 30.50°, d = 2.931 Å, rel. 85
- 2θ = 32.07°, d = 2.791 Å, rel. 100
- 2θ = 32.46°, d = 2.758 Å, rel. 58
- 2θ = 34.93°, d = 2.569 Å, rel. 79
- 2θ = 37.70°, d = 2.386 Å, rel. 26
- 2θ = 50.72°, d = 1.800 Å, rel. 40
- 2θ = 59.92°, d = 1.544 Å, rel. 25
- 2θ = 60.80°, d = 1.523 Å, rel. 42



Record 3
Calculated powder XRD pattern
Compound: Pr4NdDy2Y2
Radiation: λ = 1.5418 Å (Cu Kα)
Structure: a PBE-relaxed structure
Intensities are scaled so that the largest is 100.

Structural model:
Unit cell a=8.146 b=8.146 c=8.131 alpha=107.28 beta=107.28 gamma=36.82
Fractional positions:
1 Pr 0.054 0.054 0.331
2 Pr 0.277 0.277 0.669
3 Pr 0.723 0.723 0.331
4 Pr 0.946 0.946 0.669
5 Nd 0.500 0.500 0.000
6 Dy 0.168 0.168 0.999
7 Dy 0.832 0.832 0.001
8 Y 0.388 0.388 0.331
9 Y 0.612 0.612 0.669

Peak list (10 most intense, 2θ = 10–80°, by angle)
- 2θ = 30.06°, d = 2.973 Å, rel. 100
- 2θ = 34.85°, d = 2.574 Å, rel. 51
- 2θ = 49.99°, d = 1.825 Å, rel. 6
- 2θ = 50.14°, d = 1.819 Å, rel. 30
- 2θ = 59.46°, d = 1.554 Å, rel. 14
- 2θ = 59.60°, d = 1.551 Å, rel. 28
- 2θ = 62.40°, d = 1.488 Å, rel. 6
- 2θ = 62.58°, d = 1.484 Å, rel. 6
- 2θ = 73.56°, d = 1.288 Å, rel. 4
- 2θ = 73.65°, d = 1.286 Å, rel. 2



Record 4
Calculated powder XRD pattern
Compound: Pr2NdDy2Y
Radiation: λ = 1.5418 Å (Cu Kα)
Structure: a PBE-relaxed structure
Intensities are scaled so that the largest is 100.

Structural model:
Unit cell a=7.122 b=5.729 c=9.917 alpha=90.00 beta=90.00 gamma=90.00
Fractional positions:
1 Pr 0.000 0.000 0.000
2 Pr 0.250 0.500 0.175
3 Pr 0.500 0.000 0.000
4 Pr 0.750 0.500 0.825
5 Nd 0.250 0.000 0.660
6 Nd 0.750 0.000 0.340
7 Dy 0.250 0.000 0.332
8 Dy 0.250 0.500 0.835
9 Dy 0.750 0.000 0.668
10 Dy 0.750 0.500 0.165
11 Y 0.000 0.500 0.500
12 Y 0.500 0.500 0.500

Peak list (10 most intense, 2θ = 10–80°, by angle)
- 2θ = 30.91°, d = 2.893 Å, rel. 84
- 2θ = 31.24°, d = 2.864 Å, rel. 100
- 2θ = 40.42°, d = 2.231 Å, rel. 20
- 2θ = 44.52°, d = 2.035 Å, rel. 31
- 2θ = 55.39°, d = 1.659 Å, rel. 32
- 2θ = 55.59°, d = 1.653 Å, rel. 19
- 2θ = 61.31°, d = 1.512 Å, rel. 29
- 2θ = 65.15°, d = 1.432 Å, rel. 12
- 2θ = 73.85°, d = 1.283 Å, rel. 13
- 2θ = 79.04°, d = 1.211 Å, rel. 14



Record 5
Calculated powder XRD pattern
Compound: Nd7Dy12Pu
Radiation: λ = 1.5418 Å (Cu Kα)
Structure: a PBE-relaxed structure
Intensities are scaled so that the largest is 100.

Structural model:
Unit cell a=9.824 b=9.824 c=9.824 alpha=109.47 beta=109.47 gamma=109.47
Fractional positions:
1 Nd 0.000 0.000 0.500
2 Nd 0.000 0.500 0.000
3 Nd 0.000 0.500 0.500
4 Nd 0.500 0.000 0.000
5 Nd 0.500 0.000 0.500
6 Nd 0.500 0.500 0.000
7 Nd 0.500 0.500 0.500
8 Dy 0.000 0.244 0.756
9 Dy 0.000 0.756 0.244
10 Dy 0.244 0.000 0.756
11 Dy 0.244 0.244 0.487
12 Dy 0.244 0.487 0.244
13 Dy 0.244 0.756 0.000
14 Dy 0.487 0.244 0.244
15 Dy 0.513 0.756 0.756
16 Dy 0.756 0.000 0.244
17 Dy 0.756 0.244 0.000
18 Dy 0.756 0.513 0.756
19 Dy 0.756 0.756 0.513
20 Pu 0.000 0.000 0.000

Peak list (10 most intense, 2θ = 10–80°, by angle)
- 2θ = 15.62°, d = 5.672 Å, rel. 17
- 2θ = 22.17°, d = 4.011 Å, rel. 18
- 2θ = 27.23°, d = 3.275 Å, rel. 78
- 2θ = 31.55°, d = 2.836 Å, rel. 100
- 2θ = 45.22°, d = 2.005 Å, rel. 74
- 2θ = 53.59°, d = 1.710 Å, rel. 35
- 2θ = 56.18°, d = 1.637 Å, rel. 26
- 2θ = 65.87°, d = 1.418 Å, rel. 12
- 2θ = 72.67°, d = 1.301 Å, rel. 14
- 2θ = 74.87°, d = 1.268 Å, rel. 32



Record 6
Calculated powder XRD pattern
Compound: Nd3Dy6Pu
Radiation: λ = 1.5418 Å (Cu Kα)
Structure: a PBE-relaxed structure
Intensities are scaled so that the largest is 100.

Structural model:
Unit cell a=6.873 b=6.873 c=6.811 alpha=90.49 beta=90.49 gamma=95.74
Fractional positions:
1 Nd 0.000 0.000 0.000
2 Nd 0.213 0.389 0.201
3 Nd 0.611 0.787 0.799
4 Dy 0.107 0.568 0.752
5 Dy 0.297 0.101 0.663
6 Dy 0.432 0.893 0.248
7 Dy 0.669 0.331 0.000
8 Dy 0.826 0.174 0.500
9 Dy 0.899 0.703 0.337
10 Pu 0.524 0.476 0.500

Peak list (10 most intense, 2θ = 10–80°, by angle)
- 2θ = 29.15°, d = 3.063 Å, rel. 61
- 2θ = 29.38°, d = 3.040 Å, rel. 85
- 2θ = 30.38°, d = 2.943 Å, rel. 73
- 2θ = 30.91°, d = 2.893 Å, rel. 100
- 2θ = 31.02°, d = 2.883 Å, rel. 81
- 2θ = 32.49°, d = 2.756 Å, rel. 55
- 2θ = 32.90°, d = 2.723 Å, rel. 41
- 2θ = 41.67°, d = 2.168 Å, rel. 21
- 2θ = 57.81°, d = 1.595 Å, rel. 35
- 2θ = 60.92°, d = 1.521 Å, rel. 25